Diffraction record for VAuO2. The powder XRD pattern is simulated, not measured: it uses a structure optimized by DFT (GGA+U) and λ = 1.5418 Å (Cu Kα).
Intensities are scaled so that the largest is 100.

Structure:
Cell lengths 5.255, 2.935, 14.230 Å; angles 90.00, 90.50, 90.00 degrees
Space group C2 (No. 5)
One atom of each set of equivalent atoms:
V  0.005  0.000  0.320 x4
Au  0.167  0.510  0.081 x4
O  0.162  0.479  0.615 x4
O  0.170  0.509  0.245 x4

Top 8 peaks for 15° ≤ 2θ ≤ 90°, low angle first:
Position (°2θ)  I (rel.)
31.4  47
34.8  39
35.6  71
36.6  51
37.2  100
40.1  49
43.6  41
61.7  30